No. 1
Tm2Zr2O7: computed powder X-ray diffraction pattern (copper Kα), based on a crystal structure in the Materials Project, relaxed with GGA-PBE.
Intensities are scaled so that the largest is 100.

Structure:
```
22
Lattice="0.0000 5.2529 5.2529 5.2529 0.0000 5.2529 5.2529 5.2529 0.0000" Properties=species:S:1:pos:R:3 pbc="T T T"
Tm 0.0000 0.0000 0.0000
Tm 2.6265 2.6265 0.0000
Tm 2.6265 0.0000 2.6265
Tm 0.0000 2.6265 2.6265
Zr 5.2529 2.6265 2.6265
Zr 2.6265 5.2529 2.6265
Zr 2.6265 2.6265 5.2529
Zr 5.2529 5.2529 5.2529
O 1.3132 1.3132 1.3132
O 3.9397 3.9397 1.6399
O 3.9397 1.6399 3.9397
O 6.2395 3.9397 3.9397
O 6.5661 6.5661 4.2663
O 6.5661 4.2663 6.5661
O 8.8659 6.5661 6.5661
O 1.6399 3.9397 3.9397
O 3.9397 6.2395 3.9397
O 3.9397 3.9397 6.2395
O 4.2663 6.5661 6.5661
O 6.5661 8.8659 6.5661
O 6.5661 6.5661 8.8659
O 9.1926 9.1926 9.1926
```

Top 10 peaks for 2θ = 10–90°, in order of rising 2θ:
| 2θ/deg | d [Å] | Rel. int. |
| --- | --- | --- |
| 14.60 | 6.066 | 9 |
| 29.45 | 3.033 | 100 |
| 34.14 | 2.626 | 32 |
| 37.31 | 2.410 | 7 |
| 49.05 | 1.857 | 49 |
| 58.25 | 1.584 | 43 |
| 61.11 | 1.516 | 9 |
| 71.89 | 1.313 | 7 |
| 79.54 | 1.205 | 17 |
| 82.04 | 1.175 | 13 |

***

No. 2
TmTiFe11: computed powder X-ray diffraction pattern (copper Kα), based on a crystal structure in the Materials Project, relaxed with GGA-PBE.
Intensities are scaled so that the largest is 100.

Structure:
```
13
Lattice="-2.3372 4.2047 4.2490 2.3372 -4.2047 4.2490 2.3372 4.2047 -4.2490" Properties=species:S:1:pos:R:3 pbc="T T T"
Tm 0.0000 0.0000 0.0000
Ti 0.0000 0.0000 5.3140
Fe 2.3372 1.8235 -0.0570
Fe 2.3372 0.0000 1.8905
Fe 0.0000 0.0000 2.9442
Fe 2.3372 -1.2138 4.1956
Fe 1.1664 2.0936 2.0830
Fe 3.5080 2.0936 2.0830
Fe 2.3372 1.2138 4.1956
Fe 0.0000 4.2047 2.2943
Fe 0.0000 2.3812 4.1919
Fe -1.1708 2.1111 6.3319
Fe 1.1708 2.1111 6.3319
```

Top 10 peaks for 2θ = 10–90°, in order of rising 2θ:
| 2θ/deg | d [Å] | Rel. int. |
| --- | --- | --- |
| 30.35 | 2.945 | 29 |
| 30.47 | 2.934 | 28 |
| 37.11 | 2.423 | 31 |
| 37.41 | 2.404 | 34 |
| 42.55 | 2.124 | 44 |
| 43.07 | 2.100 | 100 |
| 43.24 | 2.092 | 78 |
| 44.23 | 2.048 | 49 |
| 44.34 | 2.043 | 46 |
| 49.51 | 1.841 | 29 |

***

No. 3
MgTe2Mo2W2Se4S2: computed powder X-ray diffraction pattern (copper Kα), based on a crystal structure in the Materials Project, relaxed with GGA-PBE.
Intensities are scaled so that the largest is 100.

Structure:
```
13
Lattice="3.3346 0.0000 0.0000 -1.6673 2.8878 0.0000 0.0000 0.0000 46.7186" Properties=species:S:1:pos:R:3 pbc="T T T"
Mg 0.0000 0.0000 0.0000
Te 1.6673 0.9626 39.9942
Te 1.6673 0.9626 43.8104
Mo 0.0000 1.9252 13.0351
Mo 0.0000 1.9252 41.8899
W 1.6673 0.9626 4.7261
W 1.6673 0.9626 21.8227
Se 0.0000 1.9252 20.1444
Se 0.0000 1.9252 23.4996
Se 1.6673 0.9626 11.3655
Se 1.6673 0.9626 14.7049
S 0.0000 1.9252 3.1942
S 0.0000 1.9252 6.2448
```

Top 10 peaks for 2θ = 10–90°, in order of rising 2θ:
| 2θ/deg | d [Å] | Rel. int. |
| --- | --- | --- |
| 11.36 | 7.786 | 82 |
| 30.98 | 2.887 | 64 |
| 32.45 | 2.759 | 38 |
| 34.65 | 2.589 | 76 |
| 37.67 | 2.388 | 35 |
| 40.05 | 2.251 | 100 |
| 41.35 | 2.184 | 26 |
| 48.64 | 1.872 | 22 |
| 55.08 | 1.667 | 45 |
| 56.03 | 1.641 | 23 |